# 1
The following is a simulated powder diffraction line list of Li5B8C8. It was derived from a PBE-relaxed structure, using Cu Kα X-rays.
Intensities are scaled so that the largest is 100.

Peak list (8 most intense, 2θ from 5° to 70°, by angle)
d = 3.609 Å, 24.67 deg, I = 100; d = 2.355 Å, 38.22 deg, I = 6; d = 1.981 Å, 45.80 deg, I = 13; d = 1.974 Å, 45.97 deg, I = 8; d = 1.963 Å, 46.24 deg, I = 14; d = 1.939 Å, 46.85 deg, I = 7; d = 1.804 Å, 50.59 deg, I = 15; d = 1.349 Å, 69.68 deg, I = 9

```
data_Li5B8C8
_chemical_formula_sum 'Li10 B16 C16'
_space_group_name_H-M_alt 'C 1 2/m 1'
_space_group_IT_number 12
_space_group_name_Hall '-C 2y'
_cell_length_a 9.316
_cell_length_b 5.459
_cell_length_c 7.219
_cell_angle_alpha 90.00
_cell_angle_beta 91.13
_cell_angle_gamma 90.00
loop_
_atom_site_label
_atom_site_type_symbol
_atom_site_fract_x
_atom_site_fract_y
_atom_site_fract_z
_atom_site_occupancy
Li1 Li 0.000 0.000 0.000 1
Li2 Li 0.000 0.000 0.500 1
Li3 Li 0.000 0.500 0.000 1
Li4 Li 0.250 0.250 0.500 1
B1 B 0.079 0.252 0.260 1
B2 B 0.172 0.500 0.756 1
B3 B 0.173 0.000 0.764 1
C1 C 0.090 0.249 0.758 1
C2 C 0.160 0.000 0.268 1
C3 C 0.160 0.500 0.258 1
```

=====

# 2
The following is a simulated powder diffraction line list of LiB2C2. It was derived from a PBE-relaxed structure, using Cu Kα X-rays.
Intensities are scaled so that the largest is 100.

Peak list (8 most intense, 2θ from 5° to 70°, by angle)
d = 3.658 Å, 24.33 deg, I = 100; d = 2.348 Å, 38.34 deg, I = 4; d = 2.340 Å, 38.48 deg, I = 7; d = 1.976 Å, 45.93 deg, I = 12; d = 1.971 Å, 46.05 deg, I = 23; d = 1.829 Å, 49.85 deg, I = 13; d = 1.354 Å, 69.41 deg, I = 8; d = 1.349 Å, 69.70 deg, I = 4

```
data_LiB2C2
_chemical_formula_sum 'Li8 B16 C16'
_space_group_name_H-M_alt 'C m c 21'
_space_group_IT_number 36
_space_group_name_Hall 'C 2c -2'
_cell_length_a 14.633
_cell_length_b 5.396
_cell_length_c 4.696
_cell_angle_alpha 90.00
_cell_angle_beta 90.00
_cell_angle_gamma 90.00
loop_
_atom_site_label
_atom_site_type_symbol
_atom_site_fract_x
_atom_site_fract_y
_atom_site_fract_z
_atom_site_occupancy
Li1 Li 0.125 0.145 0.000 1
B1 B 0.000 0.127 0.665 1
B2 B 0.000 0.378 0.170 1
B3 B 0.249 0.124 0.332 1
C1 C 0.000 0.124 0.329 1
C2 C 0.000 0.374 0.836 1
C3 C 0.247 0.125 0.667 1
```